No. 1
The following is a simulated powder diffraction line list of CaCuBiS3. It was derived from DFT lattice parameters and positions (PBE), using Cu Kα X-rays.
Lines closer than 0.1° are merged.

Structure:
```
data_CaCuBiS3
_chemical_formula_sum 'Ca2 Cu2 Bi2 S6'
_cell_length_a 8.2790
_cell_length_b 3.8984
_cell_length_c 8.5493
_cell_angle_alpha 90.00
_cell_angle_beta 100.88
_cell_angle_gamma 90.00
_symmetry_space_group_name_H-M 'P 1 21/m 1'
_symmetry_Int_Tables_number 11
loop_
_symmetry_equiv_pos_as_xyz
'x,y,z'
'-x,-y,-z'
'-x,y+1/2,-z'
'x,-y+1/2,z'
loop_
_atom_site_label
_atom_site_fract_x
_atom_site_fract_y
_atom_site_fract_z
Ca1 0.1706 0.2500 0.2335
Cu1 0.0831 0.2500 0.5811
Bi1 0.3357 0.7500 0.8269
S1 0.0983 0.2500 0.8661
S2 0.2120 0.7500 0.4952
S3 0.4122 0.7500 0.1630
```

The 10 most intense peaks (2θ = 10–80°), in order of rising 2θ:
2θ = 13.66°, intensity 100.0, (1 0 -1); 2θ = 25.66°, intensity 17.5, (1 0 2); 2θ = 28.31°, intensity 19.2, (1 1 1); 2θ = 31.31°, intensity 16.0, (0 1 2); 2θ = 31.81°, intensity 56.0, (2 1 0); 2θ = 31.98°, intensity 24.1, (0 0 3); 2θ = 32.20°, intensity 26.2, (2 1 -1); 2θ = 39.49°, intensity 21.1, (1 1 -3); 2θ = 46.61°, intensity 16.3, (0 2 0); 2θ = 48.79°, intensity 17.3, (1 2 -1)

---

No. 2
The following is a simulated powder diffraction line list of CaPm2DyBi4. It was derived from DFT lattice parameters and positions (PBE), using Cu Kα X-rays.
Lines closer than 0.1° are merged.

Structure:
```
data_CaPm2DyBi4
_chemical_formula_sum 'Ca1 Pm2 Dy1 Bi4'
_cell_length_a 7.8918
_cell_length_b 4.5406
_cell_length_c 7.9434
_cell_angle_alpha 90.00
_cell_angle_beta 109.26
_cell_angle_gamma 90.00
_symmetry_space_group_name_H-M 'P 1 2/m 1'
_symmetry_Int_Tables_number 10
loop_
_symmetry_equiv_pos_as_xyz
'x,y,z'
'-x,-y,-z'
'-x,y,-z'
'x,-y,z'
loop_
_atom_site_label
_atom_site_fract_x
_atom_site_fract_y
_atom_site_fract_z
Ca1 0.0000 0.0000 0.0000
Pm1 0.5000 0.0000 0.5000
Pm2 0.5000 0.5000 0.0000
Dy1 0.0000 0.5000 0.5000
Bi1 0.2455 0.0000 0.7452
Bi2 0.2488 0.5000 0.2538
```

The 10 most intense peaks (2θ = 10–80°), in order of rising 2θ:
2θ = 23.94°, intensity 8.4, (1 1 -1); 2θ = 27.65°, intensity 100.0, (1 1 1); 2θ = 39.37°, intensity 39.5, (2 0 2); 2θ = 39.59°, intensity 26.0, (3 1 -1); 2θ = 39.70°, intensity 12.9, (0 2 0); 2θ = 49.06°, intensity 14.2, (2 2 -2); 2θ = 57.09°, intensity 13.5, (2 2 2); 2θ = 64.38°, intensity 12.6, (3 1 -5); 2θ = 64.72°, intensity 12.4, (4 2 0); 2θ = 71.79°, intensity 11.6, (4 2 -4)

---

No. 3
The following is a simulated powder diffraction line list of CaPr2Dy3Bi6. It was derived from DFT lattice parameters and positions (PBE), using Cu Kα X-rays.
Lines closer than 0.1° are merged.

Structure:
```
data_CaPr2Dy3Bi6
_chemical_formula_sum 'Ca2 Pr4 Dy6 Bi12'
_cell_length_a 19.9069
_cell_length_b 4.5527
_cell_length_c 9.1305
_cell_angle_alpha 90.00
_cell_angle_beta 103.61
_cell_angle_gamma 90.00
_symmetry_space_group_name_H-M 'C 1 2/m 1'
_symmetry_Int_Tables_number 12
loop_
_symmetry_equiv_pos_as_xyz
'x,y,z'
'-x,-y,-z'
'-x,y,-z'
'x,-y,z'
'x+1/2,y+1/2,z'
'-x+1/2,-y+1/2,-z'
'-x+1/2,y+1/2,-z'
'x+1/2,-y+1/2,z'
loop_
_atom_site_label
_atom_site_fract_x
_atom_site_fract_y
_atom_site_fract_z
Ca1 0.0000 0.0000 0.0000
Pr1 0.1653 0.5000 0.3299
Dy1 0.0000 0.0000 0.5000
Dy2 0.1668 0.5000 0.8333
Bi1 0.0032 0.5000 0.7443
Bi2 0.1648 0.0000 0.5880
Bi3 0.1685 0.0000 0.0758
```

The 10 most intense peaks (2θ = 10–80°), in order of rising 2θ:
2θ = 27.67°, intensity 100.0, (6 0 0); 2θ = 39.45°, intensity 38.9, (7 1 -2); 2θ = 39.61°, intensity 39.2, (5 1 2); 2θ = 48.73°, intensity 7.0, (8 0 -4); 2θ = 49.00°, intensity 21.4, (6 2 0); 2θ = 57.14°, intensity 13.4, (12 0 0); 2θ = 64.53°, intensity 18.2, (13 1 -2); 2θ = 64.76°, intensity 18.7, (1 3 -2); 2θ = 71.76°, intensity 13.7, (12 2 0); 2θ = 71.87°, intensity 7.0, (5 3 2)

---

No. 4
The following is a simulated powder diffraction line list of CaHo3Er2Bi6. It was derived from DFT lattice parameters and positions (PBE), using Cu Kα X-rays.
Lines closer than 0.1° are merged.

Structure:
```
data_CaHo3Er2Bi6
_chemical_formula_sum 'Ca2 Ho6 Er4 Bi12'
_cell_length_a 19.5393
_cell_length_b 4.4719
_cell_length_c 8.9821
_cell_angle_alpha 90.00
_cell_angle_beta 103.24
_cell_angle_gamma 90.00
_symmetry_space_group_name_H-M 'C 1 2/m 1'
_symmetry_Int_Tables_number 12
loop_
_symmetry_equiv_pos_as_xyz
'x,y,z'
'-x,-y,-z'
'-x,y,-z'
'x,-y,z'
'x+1/2,y+1/2,z'
'-x+1/2,-y+1/2,-z'
'-x+1/2,y+1/2,-z'
'x+1/2,-y+1/2,z'
loop_
_atom_site_label
_atom_site_fract_x
_atom_site_fract_y
_atom_site_fract_z
Ca1 0.0000 0.0000 0.0000
Ho1 0.0000 0.0000 0.5000
Ho2 0.1646 0.5000 0.8339
Er1 0.1663 0.5000 0.3320
Bi1 0.0009 0.5000 0.2567
Bi2 0.1673 0.0000 0.5828
Bi3 0.1695 0.0000 0.0861
```

The 10 most intense peaks (2θ = 10–80°), in order of rising 2θ:
2θ = 28.16°, intensity 100.0, (1 1 -2); 2θ = 40.22°, intensity 65.1, (7 1 -2); 2θ = 40.34°, intensity 13.0, (0 2 0); 2θ = 49.76°, intensity 14.2, (8 0 -4); 2θ = 49.91°, intensity 14.1, (6 2 0); 2θ = 58.22°, intensity 13.4, (2 2 -4); 2θ = 65.83°, intensity 12.3, (3 1 -6); 2θ = 65.91°, intensity 18.5, (8 2 -4); 2θ = 73.03°, intensity 11.5, (9 1 -6); 2θ = 73.27°, intensity 9.2, (7 3 -2)

---

No. 5
The following is a simulated powder diffraction line list of CaErTm2Bi4. It was derived from DFT lattice parameters and positions (PBE), using Cu Kα X-rays.
Lines closer than 0.1° are merged.

Structure:
```
data_CaErTm2Bi4
_chemical_formula_sum 'Ca1 Er1 Tm2 Bi4'
_cell_length_a 7.7789
_cell_length_b 4.4420
_cell_length_c 7.7835
_cell_angle_alpha 90.00
_cell_angle_beta 109.05
_cell_angle_gamma 90.00
_symmetry_space_group_name_H-M 'P 1 2/m 1'
_symmetry_Int_Tables_number 10
loop_
_symmetry_equiv_pos_as_xyz
'x,y,z'
'-x,-y,-z'
'-x,y,-z'
'x,-y,z'
loop_
_atom_site_label
_atom_site_fract_x
_atom_site_fract_y
_atom_site_fract_z
Ca1 0.0000 0.0000 0.0000
Er1 0.5000 0.5000 0.0000
Tm1 0.0000 0.5000 0.5000
Tm2 0.5000 0.0000 0.5000
Bi1 0.2525 0.0000 0.7460
Bi2 0.2572 0.5000 0.2580
```

The 10 most intense peaks (2θ = 10–80°), in order of rising 2θ:
2θ = 28.17°, intensity 100.0, (1 1 1); 2θ = 39.93°, intensity 13.2, (2 0 2); 2θ = 40.26°, intensity 52.0, (3 1 -1); 2θ = 40.62°, intensity 12.8, (0 2 0); 2θ = 49.57°, intensity 14.3, (4 0 0); 2θ = 50.16°, intensity 14.0, (2 2 -2); 2θ = 58.26°, intensity 13.3, (4 0 -4); 2θ = 65.94°, intensity 24.6, (5 1 -3); 2θ = 72.73°, intensity 9.2, (5 1 1); 2θ = 73.67°, intensity 9.1, (3 3 -1)

---

No. 6
The following is a simulated powder diffraction line list of CaY3Er2Bi6. It was derived from DFT lattice parameters and positions (PBE), using Cu Kα X-rays.
Lines closer than 0.1° are merged.

Structure:
```
data_CaY3Er2Bi6
_chemical_formula_sum 'Ca2 Y6 Er4 Bi12'
_cell_length_a 19.5864
_cell_length_b 4.4846
_cell_length_c 9.0012
_cell_angle_alpha 90.00
_cell_angle_beta 103.22
_cell_angle_gamma 90.00
_symmetry_space_group_name_H-M 'C 1 2/m 1'
_symmetry_Int_Tables_number 12
loop_
_symmetry_equiv_pos_as_xyz
'x,y,z'
'-x,-y,-z'
'-x,y,-z'
'x,-y,z'
'x+1/2,y+1/2,z'
'-x+1/2,-y+1/2,-z'
'-x+1/2,y+1/2,-z'
'x+1/2,-y+1/2,z'
loop_
_atom_site_label
_atom_site_fract_x
_atom_site_fract_y
_atom_site_fract_z
Ca1 0.0000 0.0000 0.0000
Y1 0.0000 0.0000 0.5000
Y2 0.1645 0.5000 0.8343
Er1 0.1663 0.5000 0.3324
Bi1 0.0014 0.5000 0.2558
Bi2 0.1676 0.0000 0.5823
Bi3 0.1692 0.0000 0.0876
```

The 10 most intense peaks (2θ = 10–80°), in order of rising 2θ:
2θ = 24.26°, intensity 18.0, (3 1 0); 2θ = 28.09°, intensity 100.0, (1 1 -2); 2θ = 40.12°, intensity 64.8, (7 1 -2); 2θ = 40.22°, intensity 12.9, (0 2 0); 2θ = 49.64°, intensity 14.1, (8 0 -4); 2θ = 49.77°, intensity 14.1, (6 2 0); 2θ = 58.06°, intensity 13.3, (2 2 -4); 2θ = 65.65°, intensity 12.2, (3 1 -6); 2θ = 65.72°, intensity 18.4, (8 2 -4); 2θ = 72.84°, intensity 11.4, (9 1 -6)

---

No. 7
The following is a simulated powder diffraction line list of Ca2BiF. It was derived from DFT lattice parameters and positions (PBE), using Cu Kα X-rays.
Lines closer than 0.1° are merged.

Structure:
```
data_Ca2BiF
_chemical_formula_sum 'Ca8 Bi4 F4'
_cell_length_a 9.1139
_cell_length_b 6.7360
_cell_length_c 7.1911
_cell_angle_alpha 90.00
_cell_angle_beta 101.74
_cell_angle_gamma 90.00
_symmetry_space_group_name_H-M 'P 1 21/c 1'
_symmetry_Int_Tables_number 14
loop_
_symmetry_equiv_pos_as_xyz
'x,y,z'
'-x,-y,-z'
'-x,y+1/2,-z+1/2'
'x,-y+1/2,z+1/2'
loop_
_atom_site_label
_atom_site_fract_x
_atom_site_fract_y
_atom_site_fract_z
Ca1 0.0438 0.2405 0.3826
Ca2 0.3580 0.5064 0.2205
Bi1 0.2833 0.5114 0.6887
F1 0.0995 0.0447 0.6577
```

The 10 most intense peaks (2θ = 10–80°), in order of rising 2θ:
2θ = 19.51°, intensity 66.6, (1 1 -1); 2θ = 19.90°, intensity 51.4, (2 0 0); 2θ = 22.00°, intensity 94.6, (1 1 1); 2θ = 25.11°, intensity 39.4, (2 1 -1); 2θ = 25.27°, intensity 100.0, (1 0 -2); 2θ = 26.46°, intensity 55.2, (0 2 0); 2θ = 33.33°, intensity 64.2, (2 2 0); 2θ = 35.32°, intensity 31.0, (3 0 -2); 2θ = 36.91°, intensity 81.8, (1 2 -2); 2θ = 37.59°, intensity 47.0, (3 1 1)

---

No. 8
The following is a simulated powder diffraction line list of CaBi2F7. It was derived from DFT lattice parameters and positions (PBE), using Cu Kα X-rays.
Lines closer than 0.1° are merged.

Structure:
```
data_CaBi2F7
_chemical_formula_sum 'Ca3 Bi6 F21'
_cell_length_a 4.1037
_cell_length_b 4.1037
_cell_length_c 33.5802
_cell_angle_alpha 90.00
_cell_angle_beta 90.00
_cell_angle_gamma 120.00
_symmetry_space_group_name_H-M 'R -3 m'
_symmetry_Int_Tables_number 166
_symmetry_space_group_name_Hall '-R 3 2"'
loop_
_atom_site_label
_atom_site_fract_x
_atom_site_fract_y
_atom_site_fract_z
Ca1 0.0000 0.0000 0.0000
Bi1 0.0000 0.0000 0.4324
F1 0.0000 0.0000 0.0699
F2 0.0000 0.0000 0.2184
F3 0.0000 0.0000 0.3551
F4 0.0000 0.0000 0.5000
```

The 10 most intense peaks (2θ = 10–80°), in order of rising 2θ:
2θ = 15.83°, intensity 78.6, (0 0 6); 2θ = 23.85°, intensity 47.0, (0 0 9); 2θ = 25.20°, intensity 100.0, (1 0 1); 2θ = 25.62°, intensity 86.2, (0 1 2); 2θ = 28.41°, intensity 44.4, (0 1 5); 2θ = 31.32°, intensity 50.2, (1 0 7); 2θ = 33.03°, intensity 57.4, (0 1 8); 2θ = 44.14°, intensity 71.5, (1 1 0); 2θ = 45.63°, intensity 59.0, (0 1 14); 2θ = 50.78°, intensity 37.5, (1 1 9)